BaLa3Mn4O10: calculated powder diffraction line list (CuKα), based on a crystal structure in Alexandria, relaxed with PBE+U.

Principal peaks in the range 10 to 90 degrees two-theta, sorted by position:
2θ (°)	I/Imax	h k l
10.89	22.1	2 0 0
22.19	43.4	1 1 -2
30.92	63.6	2 0 -4
31.25	100.0	5 1 -2
31.47	99.4	3 1 2
32.23	64.0	0 2 0
39.30	19.8	4 2 0
44.62	25.6	8 0 0
45.27	56.5	2 2 -4
55.05	28.7	7 1 -6
55.51	25.2	1 1 6
56.99	20.3	3 3 2

Structural model:
Cell lengths 17.297, 5.555, 11.567 Å; angles 90.00, 110.09, 90.00 degrees
Space group Cc (No. 9)
Asymmetric unit:
1 Ba 0.000 0.001 0.000 [4 per cell]
2 La 0.274 0.479 0.873 [4 per cell]
3 La 0.276 0.008 0.644 [4 per cell]
4 La 0.494 0.015 0.231 [4 per cell]
5 Mn 0.132 0.031 0.339 [4 per cell]
6 Mn 0.138 0.469 0.035 [4 per cell]
7 Mn 0.382 0.498 0.687 [4 per cell]
8 Mn 0.384 0.000 0.437 [4 per cell]
9 O 0.011 0.047 0.740 [4 per cell]
10 O 0.026 0.497 0.551 [4 per cell]
11 O 0.134 0.411 0.362 [4 per cell]
12 O 0.149 0.107 0.012 [4 per cell]
13 O 0.243 0.052 0.827 [4 per cell]
14 O 0.254 0.466 0.653 [4 per cell]
15 O 0.365 0.253 0.058 [4 per cell]
16 O 0.370 0.251 0.559 [4 per cell]
17 O 0.380 0.260 0.310 [4 per cell]
18 O 0.399 0.236 0.809 [4 per cell]